Ni3P2: computed X-ray diffraction stick pattern (Cu Kα (λ = 1.5418 Å)), based on a PBE-relaxed structure.
Lines closer than 0.1° are merged.

Crystal structure
abc: 5.9147 5.9147 12.2553
angles: 90.00 90.00 120.00
Space group R-3c (No. 167, hexagonal axes)
Asymmetric unit:
Ni: 0.0000 0.2569 0.2500 (multiplicity 18)
P: 0.0000 0.0000 0.1095 (multiplicity 12)

Top 10 peaks for 2θ = 10–90°, sorted by position:
- 2θ = 22.63°, d = 3.930 Å, I = 23, (0 1 2)
- 2θ = 37.55°, d = 2.396 Å, I = 100, (1 1 3)
- 2θ = 38.08°, d = 2.363 Å, I = 15, (2 0 2)
- 2θ = 44.35°, d = 2.043 Å, I = 29, (0 0 6)
- 2θ = 46.20°, d = 1.965 Å, I = 21, (0 2 4)
- 2θ = 47.55°, d = 1.912 Å, I = 41, (2 1 1)
- 2θ = 49.37°, d = 1.846 Å, I = 12, (1 2 2)
- 2θ = 53.68°, d = 1.707 Å, I = 18, (3 0 0)
- 2θ = 56.20°, d = 1.637 Å, I = 21, (2 1 4)
- 2θ = 60.99°, d = 1.519 Å, I = 18, (1 2 5)